Structure and theoretical powder diffractogram of RbTbMo2O8 (a structure optimized by DFT (GGA+U); Cu Ka).

Structural model:
```
24
Lattice="5.432 -5.255 0.000 5.432 5.255 0.000 -5.132 0.000 5.903" Properties=species:S:1:pos:R:3 pbc="T T T"
Rb 1.583 3.215 4.427
Rb 4.149 -3.215 1.476
Tb 4.149 2.853 1.476
Tb 1.583 -2.853 4.427
Mo -0.595 0.012 4.511
Mo 1.971 -0.012 1.560
Mo 3.762 0.012 4.343
Mo 6.328 -0.012 1.391
O -2.160 0.840 4.131
O 1.805 1.634 0.727
O 0.406 -0.840 1.179
O 0.480 0.816 3.345
O 5.017 1.138 0.198
O -0.761 -1.634 3.678
O 3.046 -0.816 0.394
O 3.282 1.138 2.753
O 2.451 -1.138 3.150
O 2.687 0.816 5.509
O 6.494 1.634 2.225
O 0.716 -1.138 5.704
O 5.253 -0.816 2.558
O 5.327 0.840 4.723
O 3.928 -1.634 5.176
O 7.892 -0.840 1.772
```

Main lines, by intensity (10 to 90 degrees two-theta):
- 2θ 27.57, I = 100
- 2θ 28.52, I = 78
- 2θ 30.28, I = 38
- 2θ 14.15, I = 22
- 2θ 27.69, I = 22
- 2θ 46.26, I = 19
- 2θ 49.70, I = 17
- 2θ 53.26, I = 17
- 2θ 51.04, I = 13
- 2θ 33.89, I = 13